The following is a theoretical PXRD pattern of NpZnInIr. It was derived from the GGA-PBE geometry in Alexandria, using a wavelength of 1.5418 Å.

Main lines, sorted by position (5 to 70 degrees two-theta):
two_theta  d [Å]  I_rel
22.71  3.916  17
26.28  3.392  3
37.50  2.398  100
44.29  2.045  9
46.37  1.958  1
54.08  1.696  17
59.39  1.556  4
61.09  1.517  1
67.66  1.385  36

```
NpZnInIr
1.0
0.0000 3.3917 3.3917
3.3917 0.0000 3.3917
3.3917 3.3917 0.0000
Np Zn In Ir
1 1 1 1
Direct
0.0000 0.0000 0.0000
0.7500 0.7500 0.7500
0.5000 0.5000 0.5000
0.2500 0.2500 0.2500
```